Diffraction record for Ce2PmSmP4. The powder XRD pattern is calculated, not measured: it uses a GGA-PBE-relaxed structure and λ = 1.5418 Å (Cu Kα).
Neutral-atom scattering factors, no anomalous dispersion.

Top 8 peaks for 2θ from 10° to 80°, by intensity:
| two_theta | d [Å] | Rel. int. | (hkl) |
| --- | --- | --- | --- |
| 30.8 | 2.900 | 1000 | 1 1 1 |
| 26.6 | 3.349 | 793 | 2 0 0 |
| 44.2 | 2.051 | 731 | 2 0 2 |
| 52.3 | 1.749 | 390 | 3 1 1 |
| 72.9 | 1.297 | 327 | 1 3 1 |
| 54.8 | 1.675 | 256 | 0 0 4 |
| 70.8 | 1.331 | 157 | 4 0 2 |
| 64.2 | 1.450 | 119 | 2 2 2 |

Cell and atoms:
```
data_Ce2PmSmP4
_chemical_formula_sum 'Ce2 Pm1 Sm1 P4'
_cell_length_a 7.103
_cell_length_b 4.102
_cell_length_c 7.106
_cell_angle_alpha 90.00
_cell_angle_beta 109.48
_cell_angle_gamma 90.00
_symmetry_space_group_name_H-M 'P 1 2/m 1'
_symmetry_Int_Tables_number 10
_symmetry_space_group_name_Hall '-P 2y'
loop_
_atom_site_label
_atom_site_fract_x
_atom_site_fract_y
_atom_site_fract_z
Ce1 0.000 0.000 0.000
Ce2 0.000 0.500 0.500
Pm1 0.500 0.000 0.500
Sm1 0.500 0.500 0.000
P1 0.245 0.500 0.248
P2 0.246 0.000 0.749
```

Diffraction record for Ce3Pm2YP6. The powder XRD pattern is calculated, not measured: it uses a GGA-PBE-relaxed structure and λ = 1.5418 Å (Cu Kα).
Neutral-atom scattering factors, no anomalous dispersion.

Top 8 peaks for 2θ from 10° to 80°, by intensity:
| two_theta | d [Å] | Rel. int. | (hkl) |
| --- | --- | --- | --- |
| 30.9 | 2.891 | 1000 | 1 3 1 |
| 26.7 | 3.339 | 742 | 2 0 0 |
| 44.3 | 2.044 | 727 | 2 0 2 |
| 52.5 | 1.744 | 363 | 3 3 1 |
| 73.2 | 1.293 | 323 | 4 6 0 |
| 55.0 | 1.669 | 253 | 4 0 0 |
| 64.5 | 1.446 | 117 | 2 6 2 |
| 71.0 | 1.327 | 97 | 5 3 -1 |

Cell and atoms:
```
data_Ce3Pm2YP6
_chemical_formula_sum 'Ce6 Pm4 Y2 P12'
_cell_length_a 7.085
_cell_length_b 12.273
_cell_length_c 7.078
_cell_angle_alpha 90.00
_cell_angle_beta 109.50
_cell_angle_gamma 90.00
_symmetry_space_group_name_H-M 'C 1 2/m 1'
_symmetry_Int_Tables_number 12
_symmetry_space_group_name_Hall '-C 2y'
loop_
_atom_site_label
_atom_site_fract_x
_atom_site_fract_y
_atom_site_fract_z
Ce1 0.000 0.000 0.000
Ce2 0.000 0.333 0.000
Pm1 0.000 0.166 0.500
Y1 0.000 0.500 0.500
P1 0.245 0.500 0.246
P2 0.249 0.335 0.753
```

Diffraction record for CePr2P3. The powder XRD pattern is calculated, not measured: it uses a GGA-PBE-relaxed structure and λ = 1.5418 Å (Cu Kα).
Neutral-atom scattering factors, no anomalous dispersion.

Top 8 peaks for 2θ from 10° to 80°, by intensity:
| two_theta | d [Å] | Rel. int. | (hkl) |
| --- | --- | --- | --- |
| 30.4 | 2.944 | 1000 | 1 0 3 |
| 26.2 | 3.400 | 778 | 0 1 3 |
| 43.5 | 2.082 | 733 | 2 0 0 |
| 51.5 | 1.776 | 387 | 1 1 6 |
| 71.7 | 1.317 | 327 | 3 0 3 |
| 53.9 | 1.700 | 257 | 2 2 0 |
| 79.8 | 1.202 | 245 | 3 2 3 |
| 69.6 | 1.351 | 156 | 0 1 9 |

Cell and atoms:
```
data_CePr2P3
_chemical_formula_sum 'Ce2 Pr4 P6'
_cell_length_a 4.164
_cell_length_b 5.890
_cell_length_c 12.490
_cell_angle_alpha 90.00
_cell_angle_beta 90.00
_cell_angle_gamma 90.00
_symmetry_space_group_name_H-M 'I m m m'
_symmetry_Int_Tables_number 71
_symmetry_space_group_name_Hall '-I 2 2'
loop_
_atom_site_label
_atom_site_fract_x
_atom_site_fract_y
_atom_site_fract_z
Ce1 0.000 0.000 0.000
Pr1 0.000 0.000 0.333
P1 0.000 0.500 0.000
P2 0.000 0.500 0.340
```

Diffraction record for CePrP2Rh5. The powder XRD pattern is calculated, not measured: it uses a GGA-PBE-relaxed structure and λ = 1.5418 Å (Cu Kα).
Neutral-atom scattering factors, no anomalous dispersion.

Top 8 peaks for 2θ from 10° to 80°, by intensity:
| two_theta | d [Å] | Rel. int. | (hkl) |
| --- | --- | --- | --- |
| 35.4 | 2.538 | 1000 | 1 1 2 |
| 44.8 | 2.022 | 411 | 2 0 0 |
| 52.4 | 1.746 | 230 | 1 1 5 |
| 32.5 | 2.756 | 220 | 0 0 4 |
| 27.4 | 3.260 | 220 | 1 0 2 |
| 24.2 | 3.675 | 216 | 0 0 3 |
| 76.5 | 1.245 | 207 | 3 1 2 |
| 56.4 | 1.630 | 179 | 2 0 4 |

Cell and atoms:
```
data_CePrP2Rh5
_chemical_formula_sum 'Ce1 Pr1 P2 Rh5'
_cell_length_a 4.043
_cell_length_b 4.043
_cell_length_c 11.026
_cell_angle_alpha 90.00
_cell_angle_beta 90.00
_cell_angle_gamma 90.00
_symmetry_space_group_name_H-M 'P 4/m m m'
_symmetry_Int_Tables_number 123
_symmetry_space_group_name_Hall '-P 4 2'
loop_
_atom_site_label
_atom_site_fract_x
_atom_site_fract_y
_atom_site_fract_z
Ce1 0.000 0.000 0.000
Pr1 0.000 0.000 0.500
P1 0.500 0.500 0.207
Rh1 0.000 0.500 0.297
Rh2 0.500 0.500 0.000
```

Diffraction record for Ce3P4Pt4. The powder XRD pattern is calculated, not measured: it uses a GGA-PBE-relaxed structure and λ = 1.5418 Å (Cu Kα).
Neutral-atom scattering factors, no anomalous dispersion.

Top 8 peaks for 2θ from 10° to 80°, by intensity:
| two_theta | d [Å] | Rel. int. | (hkl) |
| --- | --- | --- | --- |
| 33.9 | 2.642 | 1000 | 5 1 -1 |
| 33.6 | 2.663 | 329 | 6 0 1 |
| 46.7 | 1.944 | 219 | 11 1 0 |
| 43.8 | 2.069 | 196 | 0 2 0 |
| 43.4 | 2.085 | 188 | 2 0 -2 |
| 56.3 | 1.634 | 151 | 6 2 1 |
| 63.3 | 1.469 | 123 | 2 2 -2 |
| 29.5 | 3.027 | 91 | 8 0 0 |

Cell and atoms:
```
data_Ce3P4Pt4
_chemical_formula_sum 'Ce6 P8 Pt8'
_cell_length_a 24.560
_cell_length_b 4.138
_cell_length_c 4.170
_cell_angle_alpha 90.00
_cell_angle_beta 99.61
_cell_angle_gamma 90.00
_symmetry_space_group_name_H-M 'C 1 2/m 1'
_symmetry_Int_Tables_number 12
_symmetry_space_group_name_Hall '-C 2y'
loop_
_atom_site_label
_atom_site_fract_x
_atom_site_fract_y
_atom_site_fract_z
Ce1 0.000 0.000 0.000
Ce2 0.146 0.500 0.151
P1 0.047 0.500 0.567
P2 0.192 0.000 0.728
Pt1 0.094 0.000 0.581
Pt2 0.241 0.500 0.711
```

Diffraction record for RbCeP2Pt4. The powder XRD pattern is calculated, not measured: it uses a GGA-PBE-relaxed structure and λ = 1.5418 Å (Cu Kα).
Neutral-atom scattering factors, no anomalous dispersion.

Top 8 peaks for 2θ from 10° to 80°, by intensity:
| two_theta | d [Å] | Rel. int. | (hkl) |
| --- | --- | --- | --- |
| 34.5 | 2.598 | 1000 | 1 1 2 |
| 39.5 | 2.281 | 607 | 1 1 3 |
| 43.0 | 2.104 | 492 | 2 0 0 |
| 16.6 | 5.327 | 459 | 0 0 2 |
| 52.8 | 1.732 | 292 | 1 1 5 |
| 30.0 | 2.976 | 265 | 1 1 0 |
| 25.1 | 3.551 | 260 | 0 0 3 |
| 73.3 | 1.291 | 247 | 3 1 2 |

Cell and atoms:
```
data_RbCeP2Pt4
_chemical_formula_sum 'Rb1 Ce1 P2 Pt4'
_cell_length_a 4.209
_cell_length_b 4.209
_cell_length_c 10.653
_cell_angle_alpha 90.00
_cell_angle_beta 90.00
_cell_angle_gamma 90.00
_symmetry_space_group_name_H-M 'P 4/m m m'
_symmetry_Int_Tables_number 123
_symmetry_space_group_name_Hall '-P 4 2'
loop_
_atom_site_label
_atom_site_fract_x
_atom_site_fract_y
_atom_site_fract_z
Rb1 0.000 0.000 0.000
Ce1 0.000 0.000 0.500
P1 0.500 0.500 0.204
Pt1 0.000 0.500 0.302
```

Diffraction record for Ce2P3Pt12Rh. The powder XRD pattern is calculated, not measured: it uses a GGA-PBE-relaxed structure and λ = 1.5418 Å (Cu Kα).
Neutral-atom scattering factors, no anomalous dispersion.

Top 8 peaks for 2θ from 10° to 80°, by intensity:
| two_theta | d [Å] | Rel. int. | (hkl) |
| --- | --- | --- | --- |
| 32.1 | 2.789 | 1000 | 0 2 4 |
| 44.4 | 2.041 | 553 | 2 2 0 |
| 47.6 | 1.910 | 420 | 2 0 8 |
| 55.8 | 1.647 | 193 | 4 0 4 |
| 73.9 | 1.282 | 154 | 2 4 4 |
| 67.1 | 1.395 | 141 | 0 4 8 |
| 23.3 | 3.820 | 114 | 1 0 4 |
| 78.7 | 1.216 | 109 | 2 2 12 |

Cell and atoms:
```
data_Ce2P3Pt12Rh
_chemical_formula_sum 'Ce6 P9 Pt36 Rh3'
_cell_length_a 8.1642
_cell_length_b 8.1642
_cell_length_c 18.1616
_cell_angle_alpha 90.00
_cell_angle_beta 90.00
_cell_angle_gamma 120.00
_symmetry_space_group_name_H-M 'R -3 m'
_symmetry_Int_Tables_number 166
_symmetry_space_group_name_Hall '-R 3 2"'
loop_
_atom_site_label
_atom_site_fract_x
_atom_site_fract_y
_atom_site_fract_z
Ce1 0.0000 0.0000 0.1168
P1 0.0000 0.5000 0.0000
Pt1 0.0100 0.5050 0.8729
Pt2 0.0281 0.5140 0.3647
Rh1 0.0000 0.0000 0.5000
```

Diffraction record for CeSn2P2Pt7. The powder XRD pattern is calculated, not measured: it uses a GGA-PBE-relaxed structure and λ = 1.5418 Å (Cu Kα).
Neutral-atom scattering factors, no anomalous dispersion.

Top 8 peaks for 2θ from 10° to 80°, by intensity:
| two_theta | d [Å] | Rel. int. | (hkl) |
| --- | --- | --- | --- |
| 36.7 | 2.452 | 1000 | 2 0 2 |
| 45.8 | 1.982 | 602 | 2 2 -1 |
| 34.1 | 2.629 | 457 | 2 0 -3 |
| 32.5 | 2.756 | 376 | 2 0 -2 |
| 44.0 | 2.059 | 312 | 2 0 4 |
| 29.4 | 3.034 | 256 | 0 0 5 |
| 78.6 | 1.217 | 225 | 4 2 1 |
| 23.5 | 3.793 | 223 | 0 0 4 |

Cell and atoms:
```
data_CeSn2P2Pt7
_chemical_formula_sum 'Ce2 Sn4 P4 Pt14'
_cell_length_a 5.606
_cell_length_b 5.606
_cell_length_c 15.427
_cell_angle_alpha 90.00
_cell_angle_beta 100.46
_cell_angle_gamma 90.00
_symmetry_space_group_name_H-M 'C 1 2/m 1'
_symmetry_Int_Tables_number 12
_symmetry_space_group_name_Hall '-C 2y'
loop_
_atom_site_label
_atom_site_fract_x
_atom_site_fract_y
_atom_site_fract_z
Ce1 0.000 0.000 0.000
Sn1 0.213 0.000 0.426
P1 0.119 0.500 0.238
Pt1 0.000 0.500 0.000
Pt2 0.175 0.250 0.849
Pt3 0.194 0.500 0.390
```